# 1
Diffraction record for La3OsO7. The X-ray powder pattern is simulated, not measured: it uses a DFT-relaxed cell (GGA-PBE, the Materials Project) and Cu Ka.
Kinematic intensities with the Lorentz-polarization factor, no thermal factor.

Cell and atoms:
```
La3OsO7
1.0
5.6046 -3.7851 0.0000
5.6046 3.7851 0.0000
0.0000 0.0000 7.7046
La Os O
6 2 14
Direct
0.0000 0.0000 0.0000
0.0000 0.0000 0.5000
0.0853 0.4688 0.7500
0.4688 0.0853 0.2500
0.5312 0.9147 0.7500
0.9147 0.5312 0.2500
0.5000 0.5000 0.0000
0.5000 0.5000 0.5000
0.1014 0.1597 0.2500
0.1597 0.1014 0.7500
0.1922 0.5591 0.0392
0.1922 0.5591 0.4608
0.4204 0.5796 0.7500
0.4409 0.8078 0.0392
0.4409 0.8078 0.4608
0.5591 0.1922 0.5392
0.5591 0.1922 0.9608
0.5796 0.4204 0.2500
0.8078 0.4409 0.5392
0.8078 0.4409 0.9608
0.8403 0.8986 0.2500
0.8986 0.8403 0.7500
```

Most intense lines, 2θ from 10° to 90°, low angle first:
Position (°2θ)	I/Imax
28.11	1000
28.45	823
30.78	122
31.94	227
33.18	401
46.72	449
47.19	172
56.03	247
56.62	113
60.24	145


# 2
Diffraction record for BaSrCeZrO6. The X-ray powder pattern is simulated, not measured: it uses a DFT-relaxed cell (GGA-PBE, the Materials Project) and Cu Ka.
Kinematic intensities with the Lorentz-polarization factor, no thermal factor.

Cell and atoms:
```
BaSrCeZrO6
1.0
6.0682 0.0000 0.0000
-0.0242 6.0927 0.0000
-0.0222 -0.0251 8.5829
Ba Sr Ce Zr O
2 2 2 2 12
Direct
0.0057 0.0240 0.2499
0.9943 0.9760 0.7501
0.4944 0.5310 0.2513
0.5056 0.4690 0.7487
0.0000 0.5000 0.5000
0.5000 0.0000 0.0000
0.0000 0.5000 0.0000
0.5000 0.0000 0.5000
0.0867 0.5067 0.7578
0.2098 0.7758 0.0361
0.2250 0.7886 0.4657
0.2788 0.2941 0.0465
0.2966 0.2815 0.4553
0.4334 0.0352 0.7425
0.5666 0.9648 0.2575
0.7034 0.7185 0.5447
0.7212 0.7059 0.9535
0.7750 0.2114 0.5343
0.7902 0.2242 0.9639
0.9133 0.4933 0.2422
```

Most intense lines, 2θ from 10° to 90°, low angle first:
Position (°2θ)	I/Imax
29.36	1000
29.47	483
41.94	139
42.11	282
52.00	143
52.11	170
52.19	219
52.31	111
60.95	120
84.35	79


# 3
Diffraction record for BaRe2Sn. The X-ray powder pattern is simulated, not measured: it uses a DFT-relaxed cell (GGA-PBE, the Materials Project) and Cu Ka.
Kinematic intensities with the Lorentz-polarization factor, no thermal factor.

Cell and atoms:
```
BaRe2Sn
1.0
0.0000 3.5160 3.5160
3.5160 0.0000 3.5160
3.5160 3.5160 0.0000
Ba Re Sn
1 2 1
Direct
0.0000 0.0000 0.0000
0.2500 0.2500 0.2500
0.5000 0.5000 0.5000
0.7500 0.7500 0.7500
```

Most intense lines, 2θ from 10° to 90°, low angle first:
Position (°2θ)	I/Imax
21.89	40
36.13	1000
42.64	22
52.02	178
57.09	9
64.97	369
69.45	7
76.66	116
80.87	7
87.79	171


# 4
Diffraction record for ThAl. The X-ray powder pattern is simulated, not measured: it uses a DFT-relaxed cell (GGA-PBE, the Materials Project) and Cu Ka.
Kinematic intensities with the Lorentz-polarization factor, no thermal factor.

Cell and atoms:
```
ThAl
1.0
2.2315 -5.7267 0.0000
2.2315 5.7267 0.0000
0.0000 0.0000 4.1844
Th Al
2 2
Direct
0.1445 0.8555 0.7500
0.8555 0.1445 0.2500
0.4292 0.5708 0.7500
0.5708 0.4292 0.2500
```

Most intense lines, 2θ from 10° to 90°, low angle first:
Position (°2θ)	I/Imax
21.37	413
26.38	761
30.30	1000
30.82	601
31.24	270
37.73	218
40.42	207
48.92	299
49.77	293
54.04	257


# 5
Diffraction record for Mn3Se2N2. The X-ray powder pattern is simulated, not measured: it uses a DFT-relaxed cell (GGA-PBE, the Materials Project) and Cu Ka.
Kinematic intensities with the Lorentz-polarization factor, no thermal factor.

Cell and atoms:
```
Mn3Se2N2
1.0
16.7578 0.0000 0.0000
0.0000 3.3894 0.0000
0.0000 0.0000 16.1216
Mn Se N
24 16 16
Direct
0.0132 0.2500 0.0567
0.0662 0.7500 0.5197
0.1010 0.2500 0.3755
0.1210 0.7500 0.1295
0.1436 0.7500 0.9254
0.2373 0.7500 0.4658
0.2627 0.2500 0.9658
0.3564 0.2500 0.4254
0.3790 0.2500 0.6295
0.3990 0.7500 0.8755
0.4338 0.2500 0.0197
0.4868 0.7500 0.5567
0.5132 0.2500 0.4433
0.5662 0.7500 0.9803
0.6010 0.2500 0.1245
0.6210 0.7500 0.3705
0.6436 0.7500 0.5746
0.7373 0.7500 0.0342
0.7627 0.2500 0.5342
0.8564 0.2500 0.0746
0.8790 0.2500 0.8705
0.8990 0.7500 0.6245
0.9338 0.2500 0.4803
0.9868 0.7500 0.9433
0.0185 0.2500 0.8369
0.0428 0.7500 0.6661
0.1596 0.2500 0.2298
0.2373 0.2500 0.5694
0.2627 0.7500 0.0694
0.3404 0.7500 0.7298
0.4572 0.2500 0.1661
0.4815 0.7500 0.3369
0.5185 0.2500 0.6631
0.5428 0.7500 0.8339
0.6596 0.2500 0.2702
0.7373 0.2500 0.9306
0.7627 0.7500 0.4306
0.8404 0.7500 0.7702
0.9572 0.2500 0.3339
0.9815 0.7500 0.1631
0.0503 0.2500 0.4812
0.0724 0.7500 0.0190
0.1448 0.7500 0.4147
0.1818 0.2500 0.8981
0.3182 0.7500 0.3981
0.3552 0.2500 0.9147
0.4276 0.2500 0.5190
0.4497 0.7500 0.9812
0.5503 0.2500 0.0188
0.5724 0.7500 0.4810
0.6448 0.7500 0.0853
0.6818 0.2500 0.6019
0.8182 0.7500 0.1019
0.8552 0.2500 0.5853
0.9276 0.2500 0.9810
0.9497 0.7500 0.5188
```

Most intense lines, 2θ from 10° to 90°, low angle first:
Position (°2θ)	I/Imax
10.56	521
10.98	983
11.90	576
29.07	628
33.02	781
35.04	1000
38.00	495
38.93	415
50.96	438
54.12	519